Structure and calculated powder X-ray diffraction pattern of RbOsWO6 (a DFT-relaxed cell (PBE+U, Alexandria); copper Kα).
Peak positions follow from Bragg's law for the DFT cell and can differ from measured ones.

Most intense lines, 10 to 80 degrees two-theta, by angle:
14.68 deg, d = 6.035 Å, I 60.7; 28.40 deg, d = 3.143 Å, I 100.0; 28.79 deg, d = 3.101 Å, I 62.8; 29.60 deg, d = 3.018 Å, I 62.4; 30.08 deg, d = 2.971 Å, I 61.8; 49.65 deg, d = 1.836 Å, I 52.3

Cell and atoms:
a b c (Å): 7.346 7.346 7.346
angles (deg): 121.06 119.54 89.49
Atoms (fractional coordinates):
Rb1 0.368 0.118 0.250
Rb2 0.632 0.882 0.750
Os1 0.000 0.000 0.500
Os2 0.000 0.500 0.000
W1 0.000 0.500 0.500
W2 0.500 0.500 0.000
O1 0.050 0.800 0.250
O2 0.058 0.426 0.244
O3 0.058 0.814 0.632
O4 0.314 0.564 0.750
O5 0.318 0.186 0.744
O6 0.318 0.574 0.132
O7 0.682 0.426 0.868
O8 0.682 0.814 0.256
O9 0.686 0.436 0.250
O10 0.942 0.186 0.368
O11 0.942 0.574 0.756
O12 0.950 0.200 0.750